[1]
Structure and simulated PXRD pattern of CeSi2Rh6 (DFT lattice parameters and positions (PBE); Cu Kα).
Neutral-atom scattering factors, no anomalous dispersion.

Structure:
a b c (Å): 7.6650 7.6650 7.6650
angles (deg): 60.00 60.00 60.00
Atoms (fractional coordinates):
Ce (0.1250, 0.1250, 0.1250)
Ce (0.8750, 0.8750, 0.8750)
Si (0.0000, 0.5000, 0.5000)
Si (0.5000, 0.0000, 0.5000)
Si (0.5000, 0.5000, 0.0000)
Si (0.5000, 0.5000, 0.5000)
Rh (0.1205, 0.1205, 0.6295)
Rh (0.1205, 0.6295, 0.1205)
Rh (0.1205, 0.6295, 0.6295)
Rh (0.3705, 0.3705, 0.8795)
Rh (0.3705, 0.8795, 0.3705)
Rh (0.3705, 0.8795, 0.8795)
Rh (0.6295, 0.1205, 0.1205)
Rh (0.6295, 0.1205, 0.6295)
Rh (0.6295, 0.6295, 0.1205)
Rh (0.8795, 0.3705, 0.3705)
Rh (0.8795, 0.3705, 0.8795)
Rh (0.8795, 0.8795, 0.3705)

Top 10 peaks for 2θ from 10° to 90°, low angle first:
- 14.15 deg, I = 13
- 23.21 deg, I = 5
- 27.29 deg, I = 20
- 33.05 deg, I = 100
- 43.37 deg, I = 10
- 47.45 deg, I = 96
- 59.04 deg, I = 24
- 69.35 deg, I = 15
- 79.00 deg, I = 31
- 88.34 deg, I = 32

[2]
Structure and simulated PXRD pattern of CeSiRh2 (DFT lattice parameters and positions (PBE); Cu Kα).
Neutral-atom scattering factors, no anomalous dispersion.

Structure:
a b c (Å): 9.3832 9.3832 4.0243
angles (deg): 90.00 90.00 155.57
Atoms (fractional coordinates):
Ce (0.0990, 0.9010, 0.7500)
Ce (0.9010, 0.0990, 0.2500)
Si (0.3209, 0.6791, 0.7500)
Si (0.6791, 0.3209, 0.2500)
Rh (0.2502, 0.7498, 0.2500)
Rh (0.4498, 0.5502, 0.7500)
Rh (0.5502, 0.4498, 0.2500)
Rh (0.7498, 0.2502, 0.7500)

Top 10 peaks for 2θ from 10° to 90°, low angle first:
- 29.21 deg, I = 21
- 33.25 deg, I = 15
- 34.97 deg, I = 100
- 36.93 deg, I = 15
- 45.06 deg, I = 17
- 45.53 deg, I = 10
- 45.69 deg, I = 17
- 60.16 deg, I = 11
- 66.12 deg, I = 11
- 76.57 deg, I = 10

[3]
Structure and simulated PXRD pattern of Ce4SiRh2 (DFT lattice parameters and positions (PBE); Cu Kα).
Neutral-atom scattering factors, no anomalous dispersion.

Structure:
a b c (Å): 7.5820 7.5461 9.0055
angles (deg): 53.65 53.28 73.07
Atoms (fractional coordinates):
Ce (0.0654, 0.4346, 0.1826)
Ce (0.0674, 0.9326, 0.1846)
Ce (0.1887, 0.5595, 0.6902)
Ce (0.4346, 0.0654, 0.3174)
Ce (0.5595, 0.1887, 0.5616)
Ce (0.5598, 0.6884, 0.0613)
Ce (0.6884, 0.5598, 0.6905)
Ce (0.9326, 0.0674, 0.8154)
Si (0.6872, 0.6872, 0.3128)
Si (0.9372, 0.9372, 0.5628)
Rh (0.1817, 0.4420, 0.4371)
Rh (0.3108, 0.8129, 0.8080)
Rh (0.4420, 0.1817, 0.9392)
Rh (0.8129, 0.3108, 0.0683)

Top 10 peaks for 2θ from 10° to 90°, low angle first:
- 29.54 deg, I = 24
- 31.35 deg, I = 66
- 31.48 deg, I = 63
- 31.76 deg, I = 100
- 34.43 deg, I = 77
- 37.55 deg, I = 30
- 37.77 deg, I = 33
- 38.49 deg, I = 23
- 39.98 deg, I = 70
- 55.38 deg, I = 28

[4]
Structure and simulated PXRD pattern of Ce2Si3Rh2 (DFT lattice parameters and positions (PBE); Cu Kα).
Neutral-atom scattering factors, no anomalous dispersion.

Structure:
a b c (Å): 9.2227 9.2227 6.8606
angles (deg): 90.00 90.00 153.95
Atoms (fractional coordinates):
Ce (0.0539, 0.9461, 0.7500)
Ce (0.1581, 0.8419, 0.2500)
Ce (0.8419, 0.1581, 0.7500)
Ce (0.9461, 0.0539, 0.2500)
Si (0.2200, 0.7800, 0.7500)
Si (0.4397, 0.5603, 0.5702)
Si (0.4397, 0.5603, 0.9298)
Si (0.5603, 0.4397, 0.0702)
Si (0.5603, 0.4397, 0.4298)
Si (0.7800, 0.2200, 0.2500)
Rh (0.3079, 0.6921, 0.0447)
Rh (0.3079, 0.6921, 0.4553)
Rh (0.6921, 0.3079, 0.5447)
Rh (0.6921, 0.3079, 0.9553)

Top 10 peaks for 2θ from 10° to 90°, low angle first:
- 32.62 deg, I = 30
- 34.25 deg, I = 99
- 35.51 deg, I = 100
- 37.15 deg, I = 41
- 40.14 deg, I = 26
- 42.41 deg, I = 28
- 43.53 deg, I = 44
- 44.45 deg, I = 46
- 57.89 deg, I = 35
- 63.97 deg, I = 31

[5]
Structure and simulated PXRD pattern of CeSi2Rh3 (DFT lattice parameters and positions (PBE); Cu Kα).
Neutral-atom scattering factors, no anomalous dispersion.

Structure:
a b c (Å): 6.6652 6.6652 6.6652
angles (deg): 114.95 86.17 130.16
Atoms (fractional coordinates):
Ce (0.4597, 0.2097, 0.2500)
Ce (0.5403, 0.7903, 0.7500)
Si (0.1141, 0.6931, 0.4210)
Si (0.2279, 0.3069, 0.9210)
Si (0.7721, 0.6931, 0.0790)
Si (0.8859, 0.3069, 0.5790)
Rh (0.0000, 0.0000, 0.5000)
Rh (0.0000, 0.2134, 0.2134)
Rh (0.0000, 0.5000, 0.0000)
Rh (0.0000, 0.7866, 0.7866)
Rh (0.5000, 0.2134, 0.7134)
Rh (0.5000, 0.7866, 0.2866)

Top 10 peaks for 2θ from 10° to 90°, low angle first:
- 30.99 deg, I = 78
- 36.95 deg, I = 100
- 40.81 deg, I = 66
- 45.04 deg, I = 23
- 45.26 deg, I = 14
- 50.98 deg, I = 16
- 56.22 deg, I = 26
- 62.89 deg, I = 15
- 64.60 deg, I = 25
- 66.57 deg, I = 20

[6]
Structure and simulated PXRD pattern of CeSi6Rh12 (DFT lattice parameters and positions (PBE); Cu Kα).
Neutral-atom scattering factors, no anomalous dispersion.

Structure:
a b c (Å): 6.9662 6.9662 6.9662
angles (deg): 105.69 105.69 105.69
Atoms (fractional coordinates):
Ce (0.0000, 0.0000, 0.0000)
Si (0.2472, 0.2472, 0.6864)
Si (0.2472, 0.6864, 0.2472)
Si (0.3136, 0.7528, 0.7528)
Si (0.6864, 0.2472, 0.2472)
Si (0.7528, 0.3136, 0.7528)
Si (0.7528, 0.7528, 0.3136)
Rh (0.1307, 0.5000, 0.8693)
Rh (0.1307, 0.8693, 0.5000)
Rh (0.1835, 0.4342, 0.4342)
Rh (0.4342, 0.1835, 0.4342)
Rh (0.4342, 0.4342, 0.1835)
Rh (0.5000, 0.1307, 0.8693)
Rh (0.5000, 0.8693, 0.1307)
Rh (0.5658, 0.5658, 0.8165)
Rh (0.5658, 0.8165, 0.5658)
Rh (0.8165, 0.5658, 0.5658)
Rh (0.8693, 0.1307, 0.5000)
Rh (0.8693, 0.5000, 0.1307)

Top 10 peaks for 2θ from 10° to 90°, low angle first:
- 27.83 deg, I = 25
- 35.40 deg, I = 100
- 36.73 deg, I = 57
- 40.38 deg, I = 20
- 43.62 deg, I = 54
- 49.24 deg, I = 17
- 52.59 deg, I = 34
- 67.14 deg, I = 14
- 69.37 deg, I = 14
- 77.11 deg, I = 16

[7]
Structure and simulated PXRD pattern of Ce4Si3Rh4 (DFT lattice parameters and positions (PBE); Cu Kα).
Neutral-atom scattering factors, no anomalous dispersion.

Structure:
a b c (Å): 10.6468 10.6468 7.8819
angles (deg): 109.67 109.67 30.60
Atoms (fractional coordinates):
Ce (0.0774, 0.7944, 0.8331)
Ce (0.2056, 0.9226, 0.6669)
Ce (0.2136, 0.4463, 0.1013)
Ce (0.4463, 0.2136, 0.6013)
Ce (0.5537, 0.7864, 0.3987)
Ce (0.7864, 0.5537, 0.8987)
Ce (0.7944, 0.0774, 0.3331)
Ce (0.9226, 0.2056, 0.1669)
Si (0.0580, 0.2843, 0.5558)
Si (0.2843, 0.0580, 0.0558)
Si (0.3479, 0.6521, 0.2500)
Si (0.6521, 0.3479, 0.7500)
Si (0.7157, 0.9420, 0.9442)
Si (0.9420, 0.7157, 0.4442)
Rh (0.0699, 0.3708, 0.3139)
Rh (0.3058, 0.5645, 0.4794)
Rh (0.3708, 0.0699, 0.8139)
Rh (0.4355, 0.6942, 0.0206)
Rh (0.5645, 0.3058, 0.9794)
Rh (0.6292, 0.9301, 0.1861)
Rh (0.6942, 0.4355, 0.5206)
Rh (0.9301, 0.6292, 0.6861)

Top 10 peaks for 2θ from 10° to 90°, low angle first:
- 24.74 deg, I = 36
- 30.65 deg, I = 37
- 34.14 deg, I = 74
- 34.49 deg, I = 45
- 35.43 deg, I = 55
- 36.90 deg, I = 100
- 37.38 deg, I = 32
- 37.82 deg, I = 73
- 41.15 deg, I = 62
- 49.09 deg, I = 24

[8]
Structure and simulated PXRD pattern of Ce2Si7Rh15 (DFT lattice parameters and positions (PBE); Cu Kα).
Neutral-atom scattering factors, no anomalous dispersion.

Structure:
a b c (Å): 8.9149 8.9149 8.9149
angles (deg): 90.00 90.00 90.00
Atoms (fractional coordinates):
Ce (0.0000, 0.0000, 0.0000)
Ce (0.0000, 0.5000, 0.5000)
Ce (0.5000, 0.0000, 0.5000)
Ce (0.5000, 0.5000, 0.0000)
Si (0.0000, 0.0000, 0.3650)
Si (0.0000, 0.0000, 0.6350)
Si (0.0000, 0.3650, 0.0000)
Si (0.0000, 0.6350, 0.0000)
Si (0.2872, 0.2872, 0.2872)
Si (0.2872, 0.2872, 0.7128)
Si (0.2872, 0.7128, 0.2872)
Si (0.2872, 0.7128, 0.7128)
Si (0.3650, 0.0000, 0.0000)
Si (0.6350, 0.0000, 0.0000)
Si (0.7128, 0.2872, 0.2872)
Si (0.7128, 0.2872, 0.7128)
Si (0.7128, 0.7128, 0.2872)
Si (0.7128, 0.7128, 0.7128)
Rh (0.0000, 0.2374, 0.2374)
Rh (0.0000, 0.2374, 0.7626)
Rh (0.0000, 0.7626, 0.2374)
Rh (0.0000, 0.7626, 0.7626)
Rh (0.1771, 0.1771, 0.5000)
Rh (0.1771, 0.5000, 0.1771)
Rh (0.1771, 0.5000, 0.8229)
Rh (0.1771, 0.8229, 0.5000)
Rh (0.2374, 0.0000, 0.2374)
Rh (0.2374, 0.0000, 0.7626)
Rh (0.2374, 0.2374, 0.0000)
Rh (0.2374, 0.7626, 0.0000)
Rh (0.2741, 0.5000, 0.5000)
Rh (0.5000, 0.1771, 0.1771)
Rh (0.5000, 0.1771, 0.8229)
Rh (0.5000, 0.2741, 0.5000)
Rh (0.5000, 0.5000, 0.2741)
Rh (0.5000, 0.5000, 0.7259)
Rh (0.5000, 0.7259, 0.5000)
Rh (0.5000, 0.8229, 0.1771)
Rh (0.5000, 0.8229, 0.8229)
Rh (0.7259, 0.5000, 0.5000)
Rh (0.7626, 0.0000, 0.2374)
Rh (0.7626, 0.0000, 0.7626)
Rh (0.7626, 0.2374, 0.0000)
Rh (0.7626, 0.7626, 0.0000)
Rh (0.8229, 0.1771, 0.5000)
Rh (0.8229, 0.5000, 0.1771)
Rh (0.8229, 0.5000, 0.8229)
Rh (0.8229, 0.8229, 0.5000)

Top 10 peaks for 2θ from 10° to 90°, low angle first:
- 30.07 deg, I = 31
- 33.33 deg, I = 50
- 34.86 deg, I = 46
- 37.76 deg, I = 25
- 40.47 deg, I = 81
- 41.78 deg, I = 100
- 43.05 deg, I = 35
- 46.69 deg, I = 27
- 58.57 deg, I = 32
- 70.91 deg, I = 26

[9]
Structure and simulated PXRD pattern of Ce2Si2Rh5 (DFT lattice parameters and positions (PBE); Cu Kα).
Neutral-atom scattering factors, no anomalous dispersion.

Structure:
a b c (Å): 4.1373 4.1373 8.9186
angles (deg): 90.00 90.00 90.00
Atoms (fractional coordinates):
Ce (0.0000, 0.0000, 0.0000)
Ce (0.0000, 0.0000, 0.5000)
Si (0.5000, 0.5000, 0.1401)
Si (0.5000, 0.5000, 0.8599)
Rh (0.0000, 0.5000, 0.2651)
Rh (0.0000, 0.5000, 0.7349)
Rh (0.5000, 0.0000, 0.2651)
Rh (0.5000, 0.0000, 0.7349)
Rh (0.5000, 0.5000, 0.5000)

Top 10 peaks for 2θ from 10° to 90°, low angle first:
- 29.45 deg, I = 10
- 36.74 deg, I = 100
- 40.46 deg, I = 16
- 43.40 deg, I = 8
- 43.76 deg, I = 36
- 61.11 deg, I = 19
- 63.61 deg, I = 12
- 71.15 deg, I = 13
- 75.77 deg, I = 23
- 78.15 deg, I = 9

[10]
Structure and simulated PXRD pattern of Ce3Si2SnRh9 (DFT lattice parameters and positions (PBE); Cu Kα).
Neutral-atom scattering factors, no anomalous dispersion.

Structure:
a b c (Å): 7.0503 7.0503 6.7982
angles (deg): 90.00 90.00 120.00
Atoms (fractional coordinates):
Ce (0.0000, 0.0000, 0.0000)
Ce (0.3333, 0.6667, 0.6810)
Ce (0.6667, 0.3333, 0.3190)
Si (0.3333, 0.6667, 0.1405)
Si (0.6667, 0.3333, 0.8595)
Sn (0.0000, 0.0000, 0.5000)
Rh (0.0000, 0.5000, 0.0000)
Rh (0.1969, 0.3938, 0.3719)
Rh (0.1969, 0.8031, 0.3719)
Rh (0.3938, 0.1969, 0.6281)
Rh (0.5000, 0.0000, 0.0000)
Rh (0.5000, 0.5000, 0.0000)
Rh (0.6062, 0.8031, 0.3719)
Rh (0.8031, 0.1969, 0.6281)
Rh (0.8031, 0.6062, 0.6281)

Top 10 peaks for 2θ from 10° to 90°, low angle first:
- 25.26 deg, I = 17
- 30.09 deg, I = 12
- 32.14 deg, I = 94
- 39.70 deg, I = 100
- 41.31 deg, I = 17
- 47.63 deg, I = 11
- 51.87 deg, I = 34
- 62.55 deg, I = 21
- 67.26 deg, I = 27
- 89.75 deg, I = 10

[11]
Structure and simulated PXRD pattern of CeSn2Rh4 (DFT lattice parameters and positions (PBE); Cu Kα).
Neutral-atom scattering factors, no anomalous dispersion.

Structure:
a b c (Å): 6.7663 5.9290 5.2247
angles (deg): 74.39 57.56 48.05
Atoms (fractional coordinates):
Ce (0.0000, 0.0000, 0.0000)
Sn (0.3201, 0.3201, 0.6799)
Sn (0.6799, 0.6799, 0.3201)
Rh (0.2500, 0.2500, 0.2500)
Rh (0.2781, 0.7219, 0.2781)
Rh (0.7219, 0.2781, 0.7219)
Rh (0.7500, 0.7500, 0.7500)

Top 10 peaks for 2θ from 10° to 90°, low angle first:
- 30.98 deg, I = 25
- 31.90 deg, I = 72
- 34.64 deg, I = 34
- 35.62 deg, I = 48
- 37.37 deg, I = 32
- 41.42 deg, I = 100
- 43.65 deg, I = 62
- 55.74 deg, I = 31
- 62.71 deg, I = 27
- 78.01 deg, I = 26